No. 1
Structure and computed powder XRD pattern of HoHfCu6 (a structure optimized by DFT (PBE); Cu Kα X-rays).
Intensities are scaled so that the largest is 100.

Principal peaks in the range 10° ≤ 2θ ≤ 80°, by angle:
| 2θ/deg | d (Å) | I_rel | index |
| --- | --- | --- | --- |
| 24.4 | 3.647 | 11 | 0 1 1 |
| 25.4 | 3.506 | 19 | 1 1 0 |
| 27.6 | 3.235 | 13 | 1 0 1 |
| 31.8 | 2.817 | 15 | 1 1 1 |
| 36.7 | 2.450 | 28 | 0 2 1 |
| 40.7 | 2.217 | 40 | 2 0 0 |
| 42.1 | 2.144 | 100 | 1 2 1 |
| 43.4 | 2.087 | 49 | 1 0 2 |
| 55.9 | 1.644 | 20 | 2 2 1 |
| 67.9 | 1.381 | 13 | 0 2 3 |
| 75.1 | 1.266 | 17 | 3 2 1 |
| 75.9 | 1.253 | 10 | 3 0 2 |

Atomic structure:
```
data_HoHfCu6
_chemical_formula_sum 'Ho1 Hf1 Cu6'
_symmetry_space_group_name_H-M 'P m m 2'
_symmetry_Int_Tables_number 25
_symmetry_space_group_name_Hall 'P 2 -2'
_cell_length_a 4.4345
_cell_length_b 5.7278
_cell_length_c 4.7294
_cell_angle_alpha 90.00
_cell_angle_beta 90.00
_cell_angle_gamma 90.00
loop_
_atom_site_label
_atom_site_fract_x
_atom_site_fract_y
_atom_site_fract_z
Ho1 0.0000 0.0000 0.0000
Hf1 0.5000 0.5000 0.3022
Cu1 0.0000 0.2735 0.4964
Cu2 0.0000 0.5000 0.9692
Cu3 0.5000 0.0000 0.3897
Cu4 0.5000 0.2735 0.8038
```

---

No. 2
Structure and computed powder XRD pattern of Ho2HfCu4Si4 (a structure optimized by DFT (PBE); Cu Kα X-rays).
Intensities are scaled so that the largest is 100.

Principal peaks in the range 10° ≤ 2θ ≤ 80°, by angle:
| 2θ/deg | d (Å) | I_rel | index |
| --- | --- | --- | --- |
| 22.8 | 3.903 | 18 | 1 0 1 |
| 24.3 | 3.661 | 22 | 0 1 3 |
| 29.2 | 3.060 | 18 | 1 1 2 |
| 36.3 | 2.474 | 100 | 1 2 1 |
| 37.5 | 2.399 | 76 | 1 1 4 |
| 40.4 | 2.231 | 13 | 0 0 6 |
| 41.2 | 2.193 | 12 | 1 2 3 |
| 44.4 | 2.040 | 26 | 2 0 0 |
| 47.2 | 1.925 | 25 | 0 3 3 |
| 58.7 | 1.573 | 13 | 2 1 5 |
| 60.8 | 1.523 | 13 | 1 2 7 |
| 66.8 | 1.400 | 17 | 2 3 3 |

Atomic structure:
```
data_Ho2HfCu4Si4
_chemical_formula_sum 'Ho4 Hf2 Cu8 Si8'
_symmetry_space_group_name_H-M 'I m m m'
_symmetry_Int_Tables_number 71
_symmetry_space_group_name_Hall '-I 2 2'
_cell_length_a 4.0807
_cell_length_b 6.4014
_cell_length_c 13.3881
_cell_angle_alpha 90.00
_cell_angle_beta 90.00
_cell_angle_gamma 90.00
loop_
_atom_site_label
_atom_site_fract_x
_atom_site_fract_y
_atom_site_fract_z
Ho1 0.0000 0.0000 0.1282
Hf1 0.0000 0.5000 0.0000
Cu1 0.0000 0.1916 0.3305
Si1 0.0000 0.3029 0.5000
Si2 0.0000 0.5000 0.2123
```

---

No. 3
Structure and computed powder XRD pattern of Hf3In2Cu2Se8 (a structure optimized by DFT (PBE); Cu Kα X-rays).
Intensities are scaled so that the largest is 100.

Principal peaks in the range 10° ≤ 2θ ≤ 80°, by angle:
| 2θ/deg | d (Å) | I_rel | index |
| --- | --- | --- | --- |
| 12.1 | 7.322 | 100 | 2 0 -1 |
| 29.8 | 3.003 | 31 | 3 1 -1 |
| 30.2 | 2.956 | 25 | 3 1 -2 |
| 30.8 | 2.900 | 65 | 3 1 0 |
| 32.2 | 2.778 | 23 | 3 1 -3 |
| 33.3 | 2.687 | 20 | 3 1 1 |
| 34.1 | 2.627 | 46 | 0 0 5 |
| 35.5 | 2.529 | 29 | 3 1 -4 |
| 37.0 | 2.427 | 21 | 3 1 2 |
| 38.7 | 2.329 | 25 | 5 1 -2 |
| 44.0 | 2.056 | 34 | 5 1 -5 |
| 47.9 | 1.900 | 33 | 0 2 0 |

Atomic structure:
```
data_Hf3In2Cu2Se8
_chemical_formula_sum 'Hf6 In4 Cu4 Se16'
_symmetry_space_group_name_H-M 'C 1 2/m 1'
_symmetry_Int_Tables_number 12
_symmetry_space_group_name_Hall '-C 2y'
_cell_length_a 14.7405
_cell_length_b 3.8000
_cell_length_c 14.3818
_cell_angle_alpha 90.00
_cell_angle_beta 114.04
_cell_angle_gamma 90.00
loop_
_atom_site_label
_atom_site_fract_x
_atom_site_fract_y
_atom_site_fract_z
Hf1 0.0000 0.0000 0.0000
Hf2 0.1572 0.0000 0.3788
In1 0.1631 0.0000 0.7976
Cu1 0.0443 0.5000 0.1971
Se1 0.0202 0.5000 0.3540
Se2 0.1077 0.5000 0.9572
Se3 0.1485 0.0000 0.1891
Se4 0.2011 0.0000 0.5810
```

---

> Number 1 is which compound?

HoHfCu6

---

> Number 3 is which compound?

Hf3In2Cu2Se8